The following is a theoretical powder X-ray diffraction pattern of AcMnAg2O4. It was derived from a DFT-relaxed cell (GGA+U, Alexandria), using CuKα.
Peak positions follow from Bragg's law for the DFT cell and can differ from measured ones.

Cell and atoms:
```
data_AcMnAg2O4
_cell_length_a 8.268
_cell_length_b 10.909
_cell_length_c 7.265
_cell_angle_alpha 90.00
_cell_angle_beta 123.66
_cell_angle_gamma 90.00
_space_group_name_H-M_alt 'C 1 2/c 1'
_space_group_IT_number 15
_space_group_name_Hall '-C 2yc'
loop_
_atom_site_label
_atom_site_type_symbol
_atom_site_fract_x
_atom_site_fract_y
_atom_site_fract_z
Ac1 Ac 0.250 0.250 0.000
Mn1 Mn 0.000 0.000 0.000
Ag1 Ag 0.000 0.500 0.000
Ag2 Ag 0.250 0.250 0.500
O1 O 0.080 0.168 0.607
O2 O 0.236 0.443 0.818
```

Top 12 peaks for 10 to 80 degrees two-theta, sorted by position:
2theta  intensity
15.41  29
16.25  21
29.54  54
30.72  90
31.10  100
32.84  42
43.80  21
44.75  36
52.92  25
53.64  22
57.31  19
57.54  18

***

The following is a theoretical powder X-ray diffraction pattern of Ac4Mn3AgO12. It was derived from a DFT-relaxed cell (GGA+U, Alexandria), using CuKα.
Peak positions follow from Bragg's law for the DFT cell and can differ from measured ones.

Cell and atoms:
```
data_Ac4Mn3AgO12
_cell_length_a 8.080
_cell_length_b 8.080
_cell_length_c 8.080
_cell_angle_alpha 90.00
_cell_angle_beta 90.00
_cell_angle_gamma 90.00
_space_group_name_H-M_alt 'I m -3 m'
_space_group_IT_number 229
_space_group_name_Hall '-I 4 2 3'
loop_
_atom_site_label
_atom_site_type_symbol
_atom_site_fract_x
_atom_site_fract_y
_atom_site_fract_z
Ac1 Ac 0.250 0.250 0.250
Mn1 Mn 0.000 0.000 0.500
Ag1 Ag 0.000 0.000 0.000
O1 O 0.000 0.000 0.267
O2 O 0.000 0.250 0.500
```

Top 12 peaks for 10 to 80 degrees two-theta, sorted by position:
2theta  intensity
15.51  1
22.00  26
31.31  100
38.60  20
41.83  1
44.87  28
50.51  14
55.73  40
65.33  17
69.84  7
74.23  18
78.52  7